Pr3Sn13Ru4: theoretical X-ray diffraction stick pattern (Cu Ka), based on a crystal structure in the Materials Project, relaxed with PBE.
Kinematic intensities with the Lorentz-polarization factor, no thermal factor.

```
data_Pr3Sn13Ru4
_cell_length_a 9.8454
_cell_length_b 9.8454
_cell_length_c 9.8454
_cell_angle_alpha 90.00
_cell_angle_beta 90.00
_cell_angle_gamma 90.00
_space_group_name_H-M_alt 'P m -3 n'
_space_group_IT_number 223
_space_group_name_Hall '-P 4n 2 3'
loop_
_atom_site_label
_atom_site_type_symbol
_atom_site_fract_x
_atom_site_fract_y
_atom_site_fract_z
Pr1 Pr 0.0000 0.2500 0.5000
Sn1 Sn 0.0000 0.0000 0.0000
Sn2 Sn 0.0000 0.3046 0.1542
Ru1 Ru 0.2500 0.2500 0.2500
```

The 10 most intense peaks (2θ from 10° to 90°), sorted by position:
d [Å]  Position (°2θ)  I (rel.)  h k l
2.731  32.80  100  3 2 0
2.631  34.07  37  3 2 1
2.461  36.51  22  4 0 0
2.388  37.67  14  4 1 0
2.010  45.11  21  4 2 2
1.688  54.33  14  4 3 3
1.597  57.72  17  5 3 2
1.484  62.58  13  6 2 2
1.406  66.48  11  6 3 2
1.122  86.80  10  6 5 4

***

PrSn6Ru4: theoretical X-ray diffraction stick pattern (Cu Ka), based on a crystal structure in the Materials Project, relaxed with PBE.
Kinematic intensities with the Lorentz-polarization factor, no thermal factor.

```
data_PrSn6Ru4
_cell_length_a 6.9551
_cell_length_b 6.9551
_cell_length_c 9.8950
_cell_angle_alpha 90.00
_cell_angle_beta 90.00
_cell_angle_gamma 90.00
_space_group_name_H-M_alt 'I -4 2 m'
_space_group_IT_number 121
_space_group_name_Hall 'I -4 2'
loop_
_atom_site_label
_atom_site_type_symbol
_atom_site_fract_x
_atom_site_fract_y
_atom_site_fract_z
Pr1 Pr 0.0000 0.0000 0.0000
Sn1 Sn 0.0000 0.5000 0.0000
Sn2 Sn 0.1760 0.1760 0.2946
Ru1 Ru 0.1722 0.1722 0.5779
```

The 10 most intense peaks (2θ from 10° to 90°), sorted by position:
d [Å]  Position (°2θ)  I (rel.)  h k l
2.967  30.12  83  2 1 1
2.845  31.44  83  2 0 2
2.459  36.54  52  2 2 0
2.263  39.84  100  2 1 3
2.257  39.94  70  3 0 1
2.210  40.83  70  1 1 4
2.200  41.02  58  3 1 0
1.744  52.47  37  2 2 4
1.502  61.77  37  4 1 3
1.317  71.68  35  4 2 4